Entry 1:
Structure and computed powder XRD pattern of Dy6HfS8 (DFT lattice parameters and positions (PBE); CuKα).

Peak list (6 most intense, 2θ from 10° to 80°, low angle first)
- 28.22°, rel. 73.8
- 32.70°, rel. 100.0
- 46.93°, rel. 71.6
- 55.66°, rel. 36.3
- 58.37°, rel. 24.7
- 78.03°, rel. 31.8

Crystal structure
Lattice parameters (Å, degrees): 7.745 7.745 7.745 60.00 60.00 60.00
Atoms (fractional coordinates):
1 Dy 0.000 0.000 0.500
2 Dy 0.000 0.500 0.000
3 Dy 0.000 0.500 0.500
4 Dy 0.500 0.000 0.000
5 Dy 0.500 0.000 0.500
6 Dy 0.500 0.500 0.000
7 Hf 0.000 0.000 0.000
8 S 0.242 0.242 0.758
9 S 0.242 0.758 0.242
10 S 0.242 0.758 0.758
11 S 0.250 0.250 0.250
12 S 0.750 0.750 0.750
13 S 0.758 0.242 0.242
14 S 0.758 0.242 0.758
15 S 0.758 0.758 0.242

=====

Entry 2:
Structure and computed powder XRD pattern of Ce3Mn4Si4 (DFT lattice parameters and positions (PBE); CuKα).

Peak list (6 most intense, 2θ from 10° to 80°, low angle first)
- 24.55°, rel. 58.7
- 30.18°, rel. 30.4
- 34.99°, rel. 100.0
- 39.28°, rel. 50.1
- 56.76°, rel. 34.3
- 62.76°, rel. 28.9

Crystal structure
Lattice parameters (Å, degrees): 6.281 6.281 6.281 109.47 109.47 109.47
Atoms (fractional coordinates):
1 Ce 0.000 0.500 0.500
2 Ce 0.500 0.000 0.500
3 Ce 0.500 0.500 0.000
4 Mn 0.000 0.000 0.248
5 Mn 0.000 0.248 0.000
6 Mn 0.248 0.000 0.000
7 Mn 0.752 0.752 0.752
8 Si 0.000 0.000 0.613
9 Si 0.000 0.613 0.000
10 Si 0.387 0.387 0.387
11 Si 0.613 0.000 0.000

=====

Entry 3:
Structure and computed powder XRD pattern of YAl2AgRh (DFT lattice parameters and positions (PBE); CuKα).

Peak list (6 most intense, 2θ from 10° to 80°, low angle first)
- 25.21°, rel. 60.7
- 27.20°, rel. 100.0
- 32.84°, rel. 62.0
- 38.84°, rel. 77.4
- 43.14°, rel. 56.4
- 51.75°, rel. 65.8

Crystal structure
Lattice parameters (Å, degrees): 4.637 4.637 5.455 90.00 90.00 90.00
Atoms (fractional coordinates):
1 Y 0.000 0.000 0.000
2 Al 0.000 0.500 0.500
3 Al 0.500 0.000 0.500
4 Ag 0.000 0.000 0.500
5 Rh 0.500 0.500 0.000

=====

> What is the formula in the second record?

Ce3Mn4Si4